Entry 1:
For Dy7CoSe5, DFT lattice parameters and positions (PBE) gives the simulated powder diffractogram in this record (Cu Kα).

Peak list (10 most intense, 10° ≤ 2θ ≤ 90°, by angle)
2θ 28.9, I = 700, hkl 0 2 7; 2θ 30.5, I = 345, hkl 1 3 1; 2θ 31.2, I = 800, hkl 1 3 2; 2θ 32.3, I = 1000, hkl 0 2 8; 2θ 41.1, I = 367, hkl 1 1 9; 2θ 44.3, I = 240, hkl 1 1 10; 2θ 44.5, I = 248, hkl 0 6 5; 2θ 44.9, I = 276, hkl 1 5 5; 2θ 46.3, I = 339, hkl 2 0 0; 2θ 55.5, I = 227, hkl 2 2 7

Structural model:
```
data_Dy7CoSe5
_chemical_formula_sum 'Dy28 Co4 Se20'
_cell_length_a 3.919
_cell_length_b 13.456
_cell_length_c 24.357
_cell_angle_alpha 90.00
_cell_angle_beta 90.00
_cell_angle_gamma 90.00
_space_group_name_H-M_alt 'C m c 21'
_space_group_IT_number 36
loop_
_space_group_symop_operation_xyz
'x,y,z'
'-x,-y,z+1/2'
'-x,y,z'
'x,-y,z+1/2'
'x+1/2,y+1/2,z'
'-x+1/2,-y+1/2,z+1/2'
'-x+1/2,y+1/2,z'
'x+1/2,-y+1/2,z+1/2'
loop_
_atom_site_label
_atom_site_fract_x
_atom_site_fract_y
_atom_site_fract_z
Dy1 0.000 0.052 0.000
Dy2 0.000 0.133 0.285
Dy3 0.000 0.146 0.710
Dy4 0.000 0.287 0.067
Dy5 0.000 0.300 0.933
Dy6 0.000 0.399 0.376
Dy7 0.000 0.422 0.637
Co1 0.000 0.310 0.489
Se1 0.000 0.052 0.393
Se2 0.000 0.064 0.603
Se3 0.000 0.213 0.177
Se4 0.000 0.226 0.821
Se5 0.000 0.490 0.251
```



Entry 2:
For DyCo5Si3, DFT lattice parameters and positions (PBE) gives the simulated powder diffractogram in this record (Cu Kα).

Peak list (10 most intense, 10° ≤ 2θ ≤ 90°, by angle)
2θ 26.5, I = 304, hkl 1 1 1; 2θ 28.4, I = 410, hkl 0 2 3; 2θ 31.6, I = 431, hkl 0 4 1; 2θ 33.4, I = 623, hkl 1 3 0; 2θ 35.0, I = 1000, hkl 1 1 3; 2θ 37.2, I = 628, hkl 1 3 2; 2θ 39.2, I = 326, hkl 0 4 3; 2θ 41.2, I = 607, hkl 1 1 4; 2θ 45.9, I = 337, hkl 1 5 0; 2θ 49.2, I = 472, hkl 2 0 0

Structural model:
```
data_DyCo5Si3
_chemical_formula_sum 'Dy4 Co20 Si12'
_cell_length_a 3.701
_cell_length_b 11.693
_cell_length_c 11.178
_cell_angle_alpha 90.00
_cell_angle_beta 90.00
_cell_angle_gamma 90.00
_space_group_name_H-M_alt 'C m c m'
_space_group_IT_number 63
_space_group_name_Hall '-C 2c 2'
loop_
_atom_site_label
_atom_site_fract_x
_atom_site_fract_y
_atom_site_fract_z
Dy1 0.000 0.170 0.250
Co1 0.000 0.000 0.000
Co2 0.000 0.194 0.565
Co3 0.000 0.450 0.146
Si1 0.000 0.110 0.750
Si2 0.000 0.380 0.543
```



Entry 3:
For DyCo2Si4, DFT lattice parameters and positions (PBE) gives the simulated powder diffractogram in this record (Cu Kα).

Peak list (10 most intense, 10° ≤ 2θ ≤ 90°, by angle)
2θ 15.3, I = 344, hkl 1 0 1; 2θ 25.2, I = 388, hkl 2 1 0; 2θ 31.7, I = 268, hkl 4 1 0; 2θ 36.5, I = 226, hkl 4 0 2; 2θ 38.7, I = 1000, hkl 2 1 2; 2θ 38.9, I = 695, hkl 5 1 1; 2θ 40.6, I = 210, hkl 6 1 0; 2θ 41.7, I = 406, hkl 7 0 1; 2θ 46.3, I = 343, hkl 0 2 0; 2θ 64.0, I = 231, hkl 7 2 1

Structural model:
```
data_DyCo2Si4
_chemical_formula_sum 'Dy4 Co8 Si16'
_cell_length_a 16.190
_cell_length_b 3.924
_cell_length_c 6.196
_cell_angle_alpha 90.00
_cell_angle_beta 90.00
_cell_angle_gamma 90.00
_space_group_name_H-M_alt 'P n m a'
_space_group_IT_number 62
loop_
_space_group_symop_operation_xyz
'x,y,z'
'-x,-y,-z'
'-x+1/2,-y,z+1/2'
'x+1/2,y,-z+1/2'
'x+1/2,-y+1/2,-z+1/2'
'-x+1/2,y+1/2,z+1/2'
'-x,y+1/2,-z'
'x,-y+1/2,z'
loop_
_atom_site_label
_atom_site_fract_x
_atom_site_fract_y
_atom_site_fract_z
Dy1 0.141 0.250 0.011
Co1 0.034 0.750 0.747
Co2 0.212 0.250 0.488
Si1 0.027 0.750 0.138
Si2 0.067 0.250 0.527
Si3 0.182 0.750 0.688
Si4 0.200 0.750 0.290
```



Entry 4:
For DyCo2Si3, DFT lattice parameters and positions (PBE) gives the simulated powder diffractogram in this record (Cu Kα).

Peak list (10 most intense, 10° ≤ 2θ ≤ 90°, by angle)
2θ 17.3, I = 176, hkl 2 0 1; 2θ 23.7, I = 197, hkl 4 0 -1; 2θ 26.9, I = 222, hkl 1 1 1; 2θ 33.5, I = 381, hkl 3 1 -2; 2θ 36.4, I = 226, hkl 6 0 0; 2θ 37.9, I = 1000, hkl 1 1 -3; 2θ 38.6, I = 261, hkl 3 1 2; 2θ 47.3, I = 208, hkl 5 1 2; 2θ 48.0, I = 190, hkl 6 0 -4; 2θ 48.2, I = 273, hkl 0 2 0

Structural model:
```
data_DyCo2Si3
_chemical_formula_sum 'Dy6 Co12 Si18'
_cell_length_a 15.270
_cell_length_b 3.777
_cell_length_c 9.168
_cell_angle_alpha 90.00
_cell_angle_beta 103.99
_cell_angle_gamma 90.00
_space_group_name_H-M_alt 'C 1 2/m 1'
_space_group_IT_number 12
loop_
_space_group_symop_operation_xyz
'x,y,z'
'-x,-y,-z'
'-x,y,-z'
'x,-y,z'
'x+1/2,y+1/2,z'
'-x+1/2,-y+1/2,-z'
'-x+1/2,y+1/2,-z'
'x+1/2,-y+1/2,z'
loop_
_atom_site_label
_atom_site_fract_x
_atom_site_fract_y
_atom_site_fract_z
Dy1 0.000 0.000 0.000
Dy2 0.150 0.000 0.699
Co1 0.004 0.500 0.761
Co2 0.145 0.500 0.439
Co3 0.209 0.000 0.086
Si1 0.000 0.500 0.500
Si2 0.052 0.000 0.359
Si3 0.141 0.500 0.190
Si4 0.143 0.500 0.931
Si5 0.224 0.000 0.377
```



Entry 5:
For Dy5Co2Si, DFT lattice parameters and positions (PBE) gives the simulated powder diffractogram in this record (Cu Kα).

Peak list (10 most intense, 10° ≤ 2θ ≤ 90°, by angle)
2θ 27.6, I = 139, hkl 2 0 2; 2θ 27.7, I = 313, hkl 2 1 1; 2θ 32.1, I = 158, hkl 1 1 4; 2θ 33.9, I = 1000, hkl 2 1 3; 2θ 36.5, I = 399, hkl 2 0 4; 2θ 38.3, I = 439, hkl 3 1 0; 2θ 51.2, I = 131, hkl 4 1 1; 2θ 55.1, I = 171, hkl 4 1 3; 2θ 56.3, I = 144, hkl 2 1 7; 2θ 59.9, I = 206, hkl 3 3 4

Structural model:
```
data_Dy5Co2Si
_chemical_formula_sum 'Dy20 Co8 Si4'
_cell_length_a 7.428
_cell_length_b 7.428
_cell_length_c 13.141
_cell_angle_alpha 90.00
_cell_angle_beta 90.00
_cell_angle_gamma 90.00
_space_group_name_H-M_alt 'I 4/m c m'
_space_group_IT_number 140
_space_group_name_Hall '-I 4 2c'
loop_
_atom_site_label
_atom_site_fract_x
_atom_site_fract_y
_atom_site_fract_z
Dy1 0.000 0.000 0.000
Dy2 0.168 0.332 0.141
Co1 0.119 0.381 0.500
Si1 0.000 0.000 0.250
```



Entry 6:
For Dy2ZnCo5Si2, DFT lattice parameters and positions (PBE) gives the simulated powder diffractogram in this record (Cu Kα).

Peak list (10 most intense, 10° ≤ 2θ ≤ 90°, by angle)
2θ 21.1, I = 292, hkl 2 1 0; 2θ 34.8, I = 815, hkl 2 1 1; 2θ 38.7, I = 365, hkl 2 2 1; 2θ 39.5, I = 837, hkl 4 1 0; 2θ 40.7, I = 277, hkl 3 3 0; 2θ 41.1, I = 1000, hkl 3 1 1; 2θ 43.0, I = 204, hkl 4 2 0; 2θ 44.5, I = 275, hkl 3 2 1; 2θ 56.4, I = 218, hkl 0 0 2; 2θ 71.1, I = 283, hkl 4 1 2

Structural model:
```
data_Dy2ZnCo5Si2
_chemical_formula_sum 'Dy4 Zn2 Co10 Si4'
_cell_length_a 9.403
_cell_length_b 9.403
_cell_length_c 3.262
_cell_angle_alpha 90.00
_cell_angle_beta 90.00
_cell_angle_gamma 90.00
_space_group_name_H-M_alt 'P 4/m b m'
_space_group_IT_number 127
_space_group_name_Hall '-P 4 2ab'
loop_
_atom_site_label
_atom_site_fract_x
_atom_site_fract_y
_atom_site_fract_z
Dy1 0.177 0.323 0.000
Zn1 0.000 0.000 0.000
Co1 0.000 0.500 0.500
Co2 0.065 0.784 0.500
Si1 0.121 0.621 0.000
```



> Which formula does entry 5 have?

Dy5Co2Si